# 1
Diffraction record for K2Zn3SiAs4. The powder diffractogram is computed, not measured: it uses a crystal structure in the Materials Project, relaxed with GGA-PBE and Cu Kα.
Peak positions follow from Bragg's law for the DFT cell and can differ from measured ones.

Cell and atoms:
Cell lengths 5.783, 14.515, 5.776 Å; angles 90.00, 90.00, 90.00 degrees
Space group C222 (No. 21)
Asymmetric unit:
K: 0.250 0.250 0.249 (multiplicity 4)
Zn: 0.000 0.000 0.000 (multiplicity 2)
Zn: 0.000 0.000 0.500 (multiplicity 2)
Zn: 0.000 0.500 0.500 (multiplicity 2)
Si: 0.000 0.500 0.000 (multiplicity 2)
As: 0.233 0.394 0.767 (multiplicity 8)

Main lines, most intense first (10° ≤ 2θ ≤ 80°):
index, Position (°2θ), I_rel
1 3 1, 28.6, 1000
0 2 0, 12.2, 758
2 4 0, 39.9, 563
2 6 0, 49.1, 445
2 0 2, 44.3, 423
2 2 0, 33.4, 317
1 3 3, 53.6, 300
1 1 1, 22.6, 168
2 8 2, 69.3, 137
2 4 4, 78.6, 134

# 2
Diffraction record for Co6BP. The powder diffractogram is computed, not measured: it uses a crystal structure in the Materials Project, relaxed with GGA-PBE and Cu Kα.
Peak positions follow from Bragg's law for the DFT cell and can differ from measured ones.

Cell and atoms:
Cell lengths 12.034, 4.251, 8.381 Å; angles 90.00, 131.95, 90.00 degrees
Space group C2 (No. 5)
Asymmetric unit:
Co: 0.030 0.000 0.387 (multiplicity 4)
Co: 0.073 0.251 0.957 (multiplicity 4)
Co: 0.099 0.771 0.190 (multiplicity 4)
Co: 0.135 0.470 0.651 (multiplicity 4)
Co: 0.171 0.754 0.951 (multiplicity 4)
Co: 0.213 0.274 0.407 (multiplicity 4)
B: 0.030 0.510 0.324 (multiplicity 4)
P: 0.213 0.980 0.750 (multiplicity 4)

Main lines, most intense first (10° ≤ 2θ ≤ 80°):
index, Position (°2θ), I_rel
3 1 1, 46.8, 1000
6 0 -3, 45.3, 703
5 1 -2, 43.5, 525
1 1 -3, 43.2, 405
5 1 -3, 44.3, 392
0 2 1, 45.1, 389
2 0 -4, 47.2, 327
5 1 -4, 49.9, 291
1 1 2, 42.3, 261
3 1 -3, 38.6, 236

# 3
Diffraction record for PrCuS2. The powder diffractogram is computed, not measured: it uses a crystal structure in the Materials Project, relaxed with GGA-PBE and Cu Kα.
Peak positions follow from Bragg's law for the DFT cell and can differ from measured ones.

Cell and atoms:
Cell lengths 6.547, 7.251, 6.920 Å; angles 90.00, 97.60, 90.00 degrees
Space group P2_1/c (No. 14)
Asymmetric unit:
Pr: 0.190 0.051 0.300 (multiplicity 4)
Cu: 0.427 0.665 0.452 (multiplicity 4)
S: 0.087 0.726 0.499 (multiplicity 4)
S: 0.411 0.115 0.723 (multiplicity 4)

Main lines, most intense first (10° ≤ 2θ ≤ 80°):
index, Position (°2θ), I_rel
1 1 1, 23.5, 1000
2 1 -1, 31.4, 724
0 1 3, 41.4, 445
1 0 -2, 27.8, 420
0 2 2, 36.0, 419
1 1 2, 33.5, 355
1 2 -1, 30.3, 273
1 1 -1, 21.4, 265
1 3 0, 39.8, 245
2 2 0, 37.2, 216

# 4
Diffraction record for CsH4NF2. The powder diffractogram is computed, not measured: it uses a crystal structure in the Materials Project, relaxed with GGA-PBE and Cu Kα.
Peak positions follow from Bragg's law for the DFT cell and can differ from measured ones.

Cell and atoms:
Cell lengths 7.388, 4.202, 13.746 Å; angles 90.00, 90.00, 90.00 degrees
Space group Pnma (No. 62)
Asymmetric unit:
Cs: 0.110 0.250 0.144 (multiplicity 4)
H: 0.012 0.750 0.362 (multiplicity 4)
H: 0.167 0.545 0.435 (multiplicity 8)
H: 0.233 0.750 0.333 (multiplicity 4)
N: 0.141 0.750 0.392 (multiplicity 4)
F: 0.135 0.250 0.742 (multiplicity 4)
F: 0.245 0.750 0.995 (multiplicity 4)

Main lines, most intense first (10° ≤ 2θ ≤ 80°):
index, Position (°2θ), I_rel
1 1 2, 27.7, 1000
1 1 3, 31.3, 593
1 0 1, 13.6, 559
1 0 2, 17.6, 510
2 1 0, 32.3, 475
1 0 3, 22.8, 456
2 0 1, 25.0, 441
0 2 0, 43.1, 410
0 1 1, 22.1, 339
0 1 5, 39.2, 307